# KY2Ti2S2O5
Theoretical powder diffractogram, a wavelength of 1.5418 Å. Input: a GGA-PBE-relaxed structure.
Lines closer than 0.1° are merged.

Main lines, by angle (15° ≤ 2θ ≤ 90°):
| hkl | Position (°2θ) | I (rel.) |
| --- | --- | --- |
| 1 0 1 | 24.56 | 13 |
| 1 0 2 | 26.66 | 21 |
| 1 0 4 | 33.89 | 100 |
| 1 0 6 | 43.54 | 10 |
| 2 0 0 | 48.77 | 20 |
| 1 1 8 | 60.52 | 12 |
| 2 1 4 | 60.69 | 23 |
| 3 0 4 | 81.48 | 9 |

Atomic structure:
Cell lengths 3.734, 3.734, 15.014 Å; angles 90.00, 90.00, 90.00 degrees
Sites, in units of the cell vectors:
K1 0.000 0.000 0.000
Y1 0.000 0.000 0.242
Y2 0.000 0.000 0.758
Ti1 0.500 0.500 0.379
Ti2 0.500 0.500 0.621
S1 0.500 0.500 0.150
S2 0.500 0.500 0.850
O1 0.000 0.500 0.333
O2 0.000 0.500 0.667
O3 0.500 0.000 0.333
O4 0.500 0.000 0.667
O5 0.500 0.500 0.500